Entry 1:
Calculated X-ray powder pattern of Ho4TiRh5 for Cu Kα, 1.54184 Å, from a GGA-PBE-relaxed structure.

Crystal structure
a = 3.2964 Å, b = 3.2964 Å, c = 17.3367 Å
α = 90.00°, β = 90.00°, γ = 90.00°
Fractional coordinates of all 10 atoms:
Ho  0.0000  0.0000  0.1028
Ho  0.0000  0.0000  0.3081
Ho  0.0000  0.0000  0.6919
Ho  0.0000  0.0000  0.8972
Ti  0.0000  0.0000  0.5000
Rh  0.5000  0.5000  0.0000
Rh  0.5000  0.5000  0.2068
Rh  0.5000  0.5000  0.4173
Rh  0.5000  0.5000  0.5827
Rh  0.5000  0.5000  0.7932

Most intense lines, 2θ from 5° to 70°, sorted by position:
| two_theta | I_rel |
| --- | --- |
| 5.1 | 8 |
| 34.2 | 8 |
| 37.7 | 100 |
| 38.6 | 50 |
| 52.8 | 7 |
| 55.8 | 17 |
| 67.3 | 14 |
| 69.3 | 33 |

Entry 2:
Calculated X-ray powder pattern of HoTi4Rh5 for Cu Kα, 1.54184 Å, from a GGA-PBE-relaxed structure.

Crystal structure
a = 3.1189 Å, b = 3.1189 Å, c = 16.4327 Å
α = 90.00°, β = 90.00°, γ = 90.00°
Fractional coordinates of all 10 atoms:
Ho  0.0000  0.0000  0.0000
Ti  0.0000  0.0000  0.2153
Ti  0.0000  0.0000  0.4061
Ti  0.0000  0.0000  0.5939
Ti  0.0000  0.0000  0.7847
Rh  0.5000  0.5000  0.1295
Rh  0.5000  0.5000  0.3143
Rh  0.5000  0.5000  0.5000
Rh  0.5000  0.5000  0.6857
Rh  0.5000  0.5000  0.8705

Most intense lines, 2θ from 5° to 70°, sorted by position:
| two_theta | I_rel |
| --- | --- |
| 5.4 | 12 |
| 33.1 | 11 |
| 36.2 | 17 |
| 39.8 | 100 |
| 40.9 | 62 |
| 44.0 | 10 |
| 53.3 | 10 |
| 59.3 | 20 |